Diffraction record for Dy3Lu4Te2Pd2. The powder diffractogram is computed, not measured: it uses the GGA-PBE geometry in OQMD and Cu Kα X-rays.
Neutral-atom scattering factors, no anomalous dispersion.

Atomic structure:
```
Dy3Lu4Te2Pd2
1.0
-1.957 7.743 4.786
1.957 -7.743 4.786
1.957 7.743 -4.786
Dy Lu Te Pd
3 4 2 2
Direct
0.000 0.000 0.000 Dy
0.452 0.581 0.870 Dy
0.711 0.581 0.130 Dy
0.057 0.374 0.683 Lu
0.088 0.733 0.355 Lu
0.378 0.733 0.645 Lu
0.691 0.374 0.317 Lu
0.333 0.333 0.000 Te
0.737 0.237 0.500 Te
0.303 0.069 0.234 Pd
0.835 0.069 0.766 Pd
```

Top 10 peaks for 2θ from 5° to 70°, by intensity:
- 2θ 33.9, I 100.0
- 2θ 33.0, I 62.7
- 2θ 34.3, I 49.9
- 2θ 30.0, I 49.4
- 2θ 28.6, I 33.4
- 2θ 46.4, I 29.5
- 2θ 58.1, I 25.1
- 2θ 36.3, I 24.1
- 2θ 30.3, I 23.2
- 2θ 38.2, I 22.8